This entry pairs a crystal structure of BeCoGe2O6 with its computed PXRD pattern. Radiation: Cu Kα (weighted mean of Kα1 and Kα2). Structure: the PBE+U geometry in Alexandria.

Peak list (10 most intense, 5 to 70 degrees two-theta, in order of rising 2θ)
(hkl)	2θ (°)	intensity
0 2 0	18.7	25.0
1 1 1	25.4	36.5
0 2 1	26.1	42.3
2 2 -1	28.3	100.0
3 1 0	31.0	81.4
2 2 1	36.9	23.2
4 0 -2	42.9	17.6
3 3 1	50.0	17.0
5 3 -1	55.0	20.5
2 2 -3	55.5	24.8

Cell: 9.8135 9.5012 5.2973 Å, 90.00 112.15 90.00°
Space group C2/c (No. 15)
Symmetry-distinct sites (fractional):
1 Be 0.0000 0.1898 0.2500 x4
2 Co 0.0000 0.1121 0.7500 x4
3 Ge 0.1893 0.4085 0.6940 x8
4 O 0.1013 0.2510 0.5540 x8
5 O 0.1131 0.0873 0.1614 x8
6 O 0.1385 0.4436 0.9755 x8